# NaPd2PtC
Theoretical XRD peak list, Cu Kα (λ = 1.5418 Å). Input: a structure optimized by DFT (PBE).
Kinematic intensities with the Lorentz-polarization factor, no thermal factor.

Top 6 peaks for 10° ≤ 2θ ≤ 90°, sorted by position:
2θ (°)  I/Imax
20.65  39
30.35  23
36.99  100
42.02  38
63.14  23
73.47  27

Crystal structure
abc: 4.3007 4.3007 4.0414
angles: 90.00 90.00 90.00
Element x y z (fractional)
Na  0.0000  0.0000  0.0000
Pd  0.0000  0.5000  0.5000
Pd  0.5000  0.0000  0.5000
Pt  0.5000  0.5000  0.0000
C  0.5000  0.5000  0.5000